# CaCrCu2F8
Computed PXRD pattern, λ = 1.5418 Å (Cu Kα). Input: a structure optimized by DFT (PBE+U).

Cell and atoms:
Lattice parameters (Å, degrees): 5.3548 5.3548 10.6095 90.00 90.00 90.00
Space group I-4 (No. 82)
One atom of each set of equivalent atoms:
Ca (0.0000, 0.0000, 0.0000) [2 per cell]
Cr (0.0000, 0.5000, 0.7500) [2 per cell]
Cu (0.0000, 0.0000, 0.5000) [2 per cell]
Cu (0.0000, 0.5000, 0.2500) [2 per cell]
F (0.1518, 0.3023, 0.5608) [8 per cell]
F (0.1884, 0.8016, 0.1985) [8 per cell]

Largest 8 diffraction maxima, low angle first, 15° ≤ 2θ ≤ 90°:
| 2θ (°) | I/Imax |
| --- | --- |
| 29.0 | 100 |
| 33.5 | 12 |
| 33.8 | 24 |
| 48.1 | 22 |
| 48.3 | 23 |
| 57.1 | 42 |
| 57.5 | 17 |
| 60.0 | 14 |